This entry pairs a crystal structure of AcHo4Er7 with its computed powder X-ray diffraction pattern. Radiation: Cu Kα. Structure: the GGA-PBE geometry in Alexandria.
No peak broadening, texture or thermal motion is included.

Most intense lines, 10 to 90 degrees two-theta, low angle first:
| d_spacing | 2θ (°) | intensity |
| --- | --- | --- |
| 3.136 | 28.46 | 154 |
| 2.825 | 31.68 | 243 |
| 2.739 | 32.69 | 1000 |
| 2.098 | 43.13 | 156 |
| 1.614 | 57.07 | 207 |
| 1.522 | 60.88 | 151 |

Atomic structure:
```
data_AcHo4Er7
_chemical_formula_sum 'Ac2 Ho8 Er14'
_symmetry_space_group_name_H-M 'P 1'
_symmetry_Int_Tables_number 1
_cell_length_a 5.6491
_cell_length_b 21.7545
_cell_length_c 6.2484
_cell_angle_alpha 90.00
_cell_angle_beta 90.00
_cell_angle_gamma 90.00
loop_
_symmetry_equiv_pos_as_xyz
'x,y,z'
loop_
_atom_site_label
_atom_site_fract_x
_atom_site_fract_y
_atom_site_fract_z
Ac1 0.2500 0.2500 0.1719
Ac2 0.7500 0.7500 0.8281
Ho1 0.2500 0.0810 0.1687
Ho2 0.2500 0.4190 0.1687
Ho3 0.2500 0.5822 0.1668
Ho4 0.2500 0.9178 0.1668
Ho5 0.7500 0.0822 0.8332
Ho6 0.7500 0.4178 0.8332
Ho7 0.7500 0.5810 0.8313
Ho8 0.7500 0.9190 0.8313
Er1 0.2500 0.0000 0.6664
Er2 0.2500 0.1636 0.6686
Er3 0.2500 0.3364 0.6686
Er4 0.2500 0.5000 0.6664
Er5 0.2500 0.6633 0.6634
Er6 0.2500 0.7500 0.1748
Er7 0.2500 0.8367 0.6634
Er8 0.7500 0.0000 0.3336
Er9 0.7500 0.1633 0.3366
Er10 0.7500 0.2500 0.8252
Er11 0.7500 0.3367 0.3366
Er12 0.7500 0.5000 0.3336
Er13 0.7500 0.6636 0.3314
Er14 0.7500 0.8364 0.3314
```

=====

This entry pairs a crystal structure of Ac2Ho6Er5 with its computed powder X-ray diffraction pattern. Radiation: Cu Kα. Structure: the GGA-PBE geometry in Alexandria.
No peak broadening, texture or thermal motion is included.

Most intense lines, 10 to 90 degrees two-theta, low angle first:
| d_spacing | 2θ (°) | intensity |
| --- | --- | --- |
| 3.032 | 29.46 | 1000 |
| 2.889 | 30.95 | 478 |
| 2.879 | 31.06 | 597 |
| 2.826 | 31.66 | 746 |
| 2.733 | 32.77 | 553 |
| 2.676 | 33.49 | 468 |

Atomic structure:
```
data_Ac2Ho6Er5
_chemical_formula_sum 'Ac4 Ho12 Er10'
_symmetry_space_group_name_H-M 'P 1'
_symmetry_Int_Tables_number 1
_cell_length_a 10.2953
_cell_length_b 15.0508
_cell_length_c 5.6528
_cell_angle_alpha 90.00
_cell_angle_beta 90.00
_cell_angle_gamma 90.00
loop_
_symmetry_equiv_pos_as_xyz
'x,y,z'
loop_
_atom_site_label
_atom_site_fract_x
_atom_site_fract_y
_atom_site_fract_z
Ac1 0.1506 0.2186 0.0000
Ac2 0.3494 0.7186 0.0000
Ac3 0.6506 0.2814 0.0000
Ac4 0.8494 0.7814 0.0000
Ho1 0.0535 0.6015 0.0000
Ho2 0.1786 0.9532 0.0000
Ho3 0.2339 0.6032 0.5000
Ho4 0.2661 0.1032 0.5000
Ho5 0.3214 0.4532 0.0000
Ho6 0.4465 0.1015 0.0000
Ho7 0.5535 0.8985 0.0000
Ho8 0.6786 0.5468 0.0000
Ho9 0.7339 0.8968 0.5000
Ho10 0.7661 0.3968 0.5000
Ho11 0.8214 0.0468 0.0000
Ho12 0.9465 0.3985 0.0000
Er1 0.0000 0.0000 0.5000
Er2 0.0718 0.7870 0.5000
Er3 0.1278 0.3960 0.5000
Er4 0.3722 0.8960 0.5000
Er5 0.4282 0.2870 0.5000
Er6 0.5000 0.5000 0.5000
Er7 0.5718 0.7130 0.5000
Er8 0.6278 0.1040 0.5000
Er9 0.8722 0.6040 0.5000
Er10 0.9282 0.2130 0.5000
```

=====

This entry pairs a crystal structure of AcHo6Er3 with its computed powder X-ray diffraction pattern. Radiation: Cu Kα. Structure: the GGA-PBE geometry in Alexandria.
No peak broadening, texture or thermal motion is included.

Most intense lines, 10 to 90 degrees two-theta, low angle first:
| d_spacing | 2θ (°) | intensity |
| --- | --- | --- |
| 3.105 | 28.76 | 659 |
| 2.821 | 31.72 | 1000 |
| 2.194 | 41.14 | 180 |
| 2.088 | 43.34 | 213 |
| 1.678 | 54.69 | 212 |
| 1.629 | 56.50 | 193 |

Atomic structure:
```
data_AcHo6Er3
_chemical_formula_sum 'Ac1 Ho6 Er3'
_symmetry_space_group_name_H-M 'P 1'
_symmetry_Int_Tables_number 1
_cell_length_a 6.9279
_cell_length_b 6.9279
_cell_length_c 6.9279
_cell_angle_alpha 89.70
_cell_angle_beta 89.70
_cell_angle_gamma 89.70
loop_
_symmetry_equiv_pos_as_xyz
'x,y,z'
loop_
_atom_site_label
_atom_site_fract_x
_atom_site_fract_y
_atom_site_fract_z
Ac1 0.0000 0.0000 0.0000
Ho1 0.0000 0.3489 0.6511
Ho2 0.1636 0.8364 0.5000
Ho3 0.3489 0.6511 0.0000
Ho4 0.5000 0.1636 0.8364
Ho5 0.6511 0.0000 0.3489
Ho6 0.8364 0.5000 0.1636
Er1 0.2614 0.2614 0.2614
Er2 0.5000 0.5000 0.5000
Er3 0.7386 0.7386 0.7386
```